Simulated X-ray powder pattern of Fe2C3O9 for a wavelength of 1.5418 Å, from a structure optimized by DFT (GGA+U).
Peak positions follow from Bragg's law for the DFT cell and can differ from measured ones.

```
data_Fe2C3O9
_cell_length_a 12.4319
_cell_length_b 12.4319
_cell_length_c 7.7784
_cell_angle_alpha 90.00
_cell_angle_beta 90.00
_cell_angle_gamma 120.00
_space_group_name_H-M_alt 'R 3'
_space_group_IT_number 146
_space_group_name_Hall 'R 3'
loop_
_atom_site_label
_atom_site_type_symbol
_atom_site_fract_x
_atom_site_fract_y
_atom_site_fract_z
_atom_site_occupancy
Fe1 Fe 0.0000 0.0000 0.0000 1
Fe2 Fe 0.1237 0.3766 0.4588 1
C1 C 0.0493 0.8658 0.6667 1
C2 C 0.1400 0.4662 0.8135 1
O1 O 0.0055 0.2887 0.2383 1
O2 O 0.0595 0.1528 0.8015 1
O3 O 0.0632 0.1483 0.1670 1
O4 O 0.0948 0.2139 0.5307 1
O5 O 0.1544 0.7227 0.3311 1
O6 O 0.1880 0.4260 0.6991 1
```

Peak list (10 most intense, 15° ≤ 2θ ≤ 90°, by angle)
2θ/deg	I_rel	h k l
20.06	100	0 2 1
28.31	12	2 0 2
31.83	34	1 2 2
32.11	37	4 -3 1
37.59	16	2 -1 3
37.99	16	3 1 2
38.28	51	1 4 0
43.40	16	2 3 2
52.57	24	1 4 3
53.09	17	4 3 1